(1)
Simulated X-ray powder pattern
Compound: KBaLi2Pd
Radiation: Cu Kα, 1.54184 Å
Structure: DFT lattice parameters and positions (GGA-PBE)
No peak broadening, texture or thermal motion is included.

Crystal structure
```
KBaLi2Pd
1.0
5.4861 0.0000 0.0000
0.0000 5.4861 0.0000
0.0000 0.0000 5.9435
K Ba Li Pd
1 1 2 1
Direct
0.0000 0.0000 0.0000
0.5000 0.5000 0.0000
0.0000 0.5000 0.5000
0.5000 0.0000 0.5000
0.5000 0.5000 0.5000
```

Most intense lines, 10° ≤ 2θ ≤ 90°, by angle:
2θ/deg	intensity	index
16.16	100	1 0 0
22.93	83	1 1 0
30.07	24	0 0 2
32.65	39	2 0 0
34.32	32	1 0 2
36.63	27	2 1 0
38.15	43	1 1 2
44.97	31	2 0 2
48.09	25	2 1 2
52.77	16	3 1 0
56.67	15	2 2 2
61.93	20	3 1 2

---

(2)
Simulated X-ray powder pattern
Compound: KBa2LiZn
Radiation: Cu Kα, 1.54184 Å
Structure: DFT lattice parameters and positions (GGA-PBE)
No peak broadening, texture or thermal motion is included.

Crystal structure
```
KBa2LiZn
1.0
6.6575 0.0000 0.0000
0.0000 6.6575 0.0000
0.0000 0.0000 5.4778
K Ba Li Zn
1 2 1 1
Direct
0.0000 0.0000 0.0000
0.0000 0.5000 0.5000
0.5000 0.0000 0.5000
0.5000 0.5000 0.0000
0.5000 0.5000 0.5000
```

Most intense lines, 10° ≤ 2θ ≤ 90°, by angle:
2θ/deg	intensity	index
16.18	93	0 0 1
18.85	33	1 1 0
21.00	30	1 0 1
24.94	93	1 1 1
26.78	100	2 0 0
31.45	75	2 0 1
32.70	30	0 0 2
38.24	38	2 2 0
41.77	35	2 2 1
42.75	55	2 0 2
46.19	34	3 1 1
51.17	32	2 2 2

---

(3)
Simulated X-ray powder pattern
Compound: KBaMg14
Radiation: Cu Kα, 1.54184 Å
Structure: DFT lattice parameters and positions (GGA-PBE)
No peak broadening, texture or thermal motion is included.

Crystal structure
```
KBaMg14
1.0
6.8747 0.0000 0.0000
-3.4374 5.9537 0.0000
0.0000 0.0000 10.6772
K Ba Mg
1 1 14
Direct
0.0000 0.0000 0.0000
0.0000 0.0000 0.5000
0.0069 0.5034 0.0000
0.0143 0.5071 0.5000
0.1796 0.3593 0.2476
0.1796 0.3593 0.7524
0.1796 0.8204 0.2476
0.1796 0.8204 0.7524
0.4929 0.5071 0.5000
0.4929 0.9857 0.5000
0.4966 0.5034 0.0000
0.4966 0.9931 0.0000
0.6407 0.8204 0.2476
0.6407 0.8204 0.7524
0.6667 0.3333 0.2551
0.6667 0.3333 0.7449
```

Most intense lines, 10° ≤ 2θ ≤ 90°, by angle:
2θ/deg	intensity	index
14.88	21	1 0 0
17.05	20	1 0 1
22.37	26	1 0 2
30.02	28	2 0 0
33.57	24	0 0 4
34.50	100	2 0 2
45.66	18	2 0 4
53.29	23	2 2 0
60.63	18	2 0 6
64.48	19	2 2 4
65.05	14	4 0 2
88.89	11	4 2 2

---

(4)
Simulated X-ray powder pattern
Compound: KBa3Re2N6
Radiation: Cu Kα, 1.54184 Å
Structure: DFT lattice parameters and positions (GGA-PBE)
No peak broadening, texture or thermal motion is included.

Crystal structure
```
KBa3Re2N6
1.0
6.4019 0.0000 0.0000
-3.2009 5.5442 0.0000
0.0000 0.0000 7.6033
K Ba Re N
1 3 2 6
Direct
0.0000 0.0000 0.0000
0.0000 0.0000 0.5000
0.3333 0.6667 0.1966
0.6667 0.3333 0.8034
0.3333 0.6667 0.6997
0.6667 0.3333 0.3003
0.1770 0.3540 0.7591
0.1770 0.8230 0.7591
0.3540 0.1770 0.2409
0.6460 0.8230 0.7591
0.8230 0.1770 0.2409
0.8230 0.6460 0.2409
```

Most intense lines, 10° ≤ 2θ ≤ 90°, by angle:
2θ/deg	intensity	index
19.82	15	0 1 1
23.40	15	0 0 2
27.87	100	1 1 0
28.47	88	0 1 2
36.70	15	1 1 2
40.26	40	2 0 2
49.31	21	3 0 0
49.68	36	1 2 2
50.78	19	1 0 4
57.59	16	2 2 0
65.48	17	3 1 2
66.40	16	2 1 4